For Cu2S3O12, a DFT-relaxed cell (PBE, the Materials Project) gives the computed XRD peak list in this record (Cu Kα, 1.54184 Å).
Neutral-atom scattering factors, no anomalous dispersion.

Atomic structure:
```
data_Cu2S3O12
_space_group_name_H-M_alt 'P 1'
_space_group_IT_number 1
_cell_length_a 7.823
_cell_length_b 7.823
_cell_length_c 9.751
_cell_angle_alpha 118.20
_cell_angle_beta 118.20
_cell_angle_gamma 61.95
loop_
_space_group_symop_operation_xyz
'x,y,z'
loop_
_atom_site_label
_atom_site_fract_x
_atom_site_fract_y
_atom_site_fract_z
Cu1 0.133 0.635 0.970
Cu2 0.365 0.867 0.530
Cu3 0.635 0.133 0.470
Cu4 0.867 0.365 0.030
S1 0.039 0.255 0.667
S2 0.255 0.039 0.167
S3 0.468 0.532 0.750
S4 0.532 0.468 0.250
S5 0.745 0.961 0.833
S6 0.961 0.745 0.333
O1 0.023 0.642 0.445
O2 0.053 0.389 0.843
O3 0.098 0.250 0.190
O4 0.104 0.857 0.376
O5 0.143 0.896 0.124
O6 0.250 0.098 0.690
O7 0.310 0.565 0.807
O8 0.328 0.478 0.114
O9 0.358 0.977 0.055
O10 0.389 0.053 0.343
O11 0.435 0.690 0.693
O12 0.478 0.328 0.614
O13 0.522 0.672 0.386
O14 0.565 0.310 0.307
O15 0.611 0.947 0.657
O16 0.642 0.023 0.945
O17 0.672 0.522 0.886
O18 0.690 0.435 0.193
O19 0.750 0.902 0.310
O20 0.857 0.104 0.876
O21 0.896 0.143 0.624
O22 0.902 0.750 0.810
O23 0.947 0.611 0.157
O24 0.977 0.358 0.555
```

Top 10 peaks for 10° ≤ 2θ ≤ 90°, low angle first:
2θ/deg, I/Imax
14.39, 100.0
18.60, 58.0
21.70, 47.5
24.39, 84.1
24.67, 61.2
26.33, 48.7
26.94, 51.1
30.21, 55.5
31.26, 85.6
39.21, 47.4

---

For SrNdHf2O6, a DFT-relaxed cell (PBE, the Materials Project) gives the computed XRD peak list in this record (Cu Kα, 1.54184 Å).
Neutral-atom scattering factors, no anomalous dispersion.

Atomic structure:
```
data_SrNdHf2O6
_space_group_name_H-M_alt 'P 1'
_space_group_IT_number 1
_cell_length_a 5.701
_cell_length_b 5.701
_cell_length_c 4.219
_cell_angle_alpha 90.00
_cell_angle_beta 90.00
_cell_angle_gamma 91.35
loop_
_space_group_symop_operation_xyz
'x,y,z'
loop_
_atom_site_label
_atom_site_fract_x
_atom_site_fract_y
_atom_site_fract_z
Sr1 0.000 0.000 0.000
Nd1 0.500 0.500 0.000
Hf1 0.000 0.500 0.500
Hf2 0.500 0.000 0.500
O1 0.000 0.500 0.000
O2 0.182 0.818 0.500
O3 0.320 0.320 0.500
O4 0.500 0.000 0.000
O5 0.680 0.680 0.500
O6 0.818 0.182 0.500
```

Top 10 peaks for 10° ≤ 2θ ≤ 90°, low angle first:
2θ/deg, I/Imax
30.49, 94.6
30.87, 91.4
31.39, 100.0
42.87, 29.8
44.43, 24.1
45.55, 22.2
54.09, 43.6
55.08, 41.6
55.80, 40.3
63.45, 16.4